Na3Co2H9: calculated X-ray powder pattern (Cu Kα X-rays), based on a DFT-relaxed cell (PBE, Alexandria).
No peak broadening, texture or thermal motion is included.

Cell and atoms:
```
28
Lattice="4.134 2.387 4.585 -4.134 2.387 4.585 0.000 -4.773 4.585" Properties=species:S:1:pos:R:3 pbc="T T T"
Na -2.729 0.047 5.732
Na -1.405 -2.340 8.024
Na 1.324 -2.387 5.732
Na -1.324 2.387 8.024
Na 1.405 2.340 5.732
Na 2.729 -0.047 8.024
Co 0.000 0.000 2.339
Co 0.000 0.000 4.539
Co 0.000 0.000 9.217
Co 0.000 0.000 11.417
H -3.565 -1.405 7.809
H -1.275 0.000 3.439
H -0.566 -3.790 5.947
H -2.999 2.385 5.947
H 0.638 -1.105 3.439
H -0.566 -0.984 5.516
H -0.569 0.982 5.516
H 0.638 1.105 3.439
H -1.135 -0.002 8.240
H 1.135 0.002 5.516
H -0.638 -1.105 10.317
H 0.569 -0.982 8.240
H 0.566 0.984 8.240
H -0.638 1.105 10.317
H 2.999 -2.385 7.809
H 0.566 3.790 7.809
H 1.275 0.000 10.317
H 3.565 1.405 5.947
```

Most intense lines, 2θ from 15° to 90°, sorted by position:
2theta	I/Imax
17.88	78
21.50	100
28.10	28
28.80	18
29.08	39
35.65	27
37.69	98
45.23	74
60.29	31
73.32	32